(1)
For K4Ti2H2O5F8, a structure optimized by DFT (PBE) gives the computed X-ray diffraction stick pattern in this record (Cu Kα, 1.54184 Å).
Lines closer than 0.1° are merged.

Top 10 peaks for 10° ≤ 2θ ≤ 90°, in order of rising 2θ:
d = 7.616 Å, 2θ 11.62, rel. 87
d = 5.804 Å, 2θ 15.27, rel. 65
d = 5.524 Å, 2θ 16.05, rel. 55
d = 3.453 Å, 2θ 25.80, rel. 91
d = 3.305 Å, 2θ 26.98, rel. 100
d = 3.011 Å, 2θ 29.67, rel. 49
d = 2.909 Å, 2θ 30.74, rel. 34
d = 2.604 Å, 2θ 34.44, rel. 52
d = 2.589 Å, 2θ 34.65, rel. 38
d = 2.270 Å, 2θ 39.70, rel. 59

```
K4Ti2H2O5F8
1.0
8.6835 -3.3049 0.0000
8.6835 3.3049 0.0000
-6.0511 0.0000 11.0472
K Ti H O F
8 4 4 10 16
Direct
0.0437 0.5903 0.1712
0.1751 0.6852 0.8644
0.3148 0.8249 0.6356
0.4097 0.9563 0.3288
0.5903 0.0437 0.6712
0.6852 0.1751 0.3644
0.8249 0.3148 0.1356
0.9563 0.4097 0.8288
0.0007 0.6593 0.4681
0.3407 0.9993 0.0319
0.6593 0.0007 0.9681
0.9993 0.3407 0.5319
0.4042 0.5427 0.1799
0.4573 0.5958 0.3201
0.5427 0.4042 0.6799
0.5958 0.4573 0.8201
0.0768 0.7647 0.4238
0.2353 0.9232 0.0762
0.2594 0.5287 0.4278
0.3421 0.6579 0.2500
0.4713 0.7406 0.0722
0.5287 0.2594 0.9278
0.6579 0.3421 0.7500
0.7406 0.4713 0.5722
0.7647 0.0768 0.9238
0.9232 0.2353 0.5762
0.0323 0.2819 0.0220
0.0947 0.7184 0.6382
0.1264 0.4010 0.6938
0.1919 0.3460 0.4853
0.2819 0.0323 0.5220
0.2816 0.9053 0.8618
0.3460 0.1919 0.9853
0.4010 0.1264 0.1938
0.5990 0.8736 0.8062
0.6540 0.8081 0.0147
0.7184 0.0947 0.1382
0.7181 0.9677 0.4780
0.8081 0.6540 0.5147
0.8736 0.5990 0.3062
0.9053 0.2816 0.3618
0.9677 0.7181 0.9780
```

***

(2)
For K2TiH2O3F4, a structure optimized by DFT (PBE) gives the computed X-ray diffraction stick pattern in this record (Cu Kα, 1.54184 Å).
Lines closer than 0.1° are merged.

Top 10 peaks for 10° ≤ 2θ ≤ 90°, in order of rising 2θ:
d = 6.620 Å, 2θ 13.37, rel. 69
d = 5.512 Å, 2θ 16.08, rel. 59
d = 5.320 Å, 2θ 16.66, rel. 78
d = 5.196 Å, 2θ 17.06, rel. 71
d = 4.182 Å, 2θ 21.24, rel. 63
d = 3.719 Å, 2θ 23.93, rel. 70
d = 3.581 Å, 2θ 24.87, rel. 77
d = 3.165 Å, 2θ 28.20, rel. 100
d = 2.616 Å, 2θ 34.27, rel. 76
d = 1.920 Å, 2θ 47.35, rel. 62

```
K2TiH2O3F4
1.0
6.1401 0.0000 0.0000
0.0000 14.5232 0.0000
-4.2857 0.0000 7.4380
K Ti H O F
8 4 8 12 16
Direct
0.1955 0.2108 0.2877
0.1955 0.2892 0.7877
0.2351 0.5859 0.7896
0.2351 0.9141 0.2896
0.7649 0.0859 0.7104
0.7649 0.4141 0.2104
0.8045 0.7108 0.2123
0.8045 0.7892 0.7123
0.4315 0.5981 0.3665
0.4315 0.9019 0.8665
0.5685 0.0981 0.1335
0.5685 0.4019 0.6335
0.0513 0.0968 0.4839
0.0513 0.4032 0.9839
0.2568 0.0962 0.6897
0.2568 0.4038 0.1897
0.7432 0.5962 0.8103
0.7432 0.9038 0.3103
0.9487 0.5968 0.0161
0.9487 0.9032 0.5161
0.1529 0.1368 0.5878
0.1529 0.3632 0.0878
0.3304 0.7180 0.2696
0.3304 0.7820 0.7696
0.3373 0.7064 0.4422
0.3373 0.7936 0.9422
0.6627 0.2064 0.0578
0.6627 0.2936 0.5578
0.6696 0.2180 0.2304
0.6696 0.2820 0.7304
0.8471 0.6368 0.9122
0.8471 0.8632 0.4122
0.0936 0.5481 0.2373
0.0936 0.9519 0.7373
0.2176 0.1248 0.0006
0.2176 0.3752 0.5006
0.4644 0.5475 0.6018
0.4644 0.9525 0.1018
0.4673 0.5752 0.1548
0.4673 0.9248 0.6548
0.5327 0.0752 0.3452
0.5327 0.4248 0.8452
0.5356 0.0475 0.8982
0.5356 0.4525 0.3982
0.7824 0.6248 0.4994
0.7824 0.8752 0.9994
0.9064 0.0481 0.2627
0.9064 0.4519 0.7627
```

***

(3)
For K2U3H4O6F8, a structure optimized by DFT (PBE) gives the computed X-ray diffraction stick pattern in this record (Cu Kα, 1.54184 Å).
Lines closer than 0.1° are merged.

Top 10 peaks for 10° ≤ 2θ ≤ 90°, in order of rising 2θ:
d = 6.675 Å, 2θ 13.26, rel. 100
d = 4.270 Å, 2θ 20.80, rel. 28
d = 4.161 Å, 2θ 21.35, rel. 40
d = 3.666 Å, 2θ 24.28, rel. 16
d = 3.597 Å, 2θ 24.75, rel. 28
d = 3.531 Å, 2θ 25.22, rel. 63
d = 3.213 Å, 2θ 27.77, rel. 26
d = 1.956 Å, 2θ 46.43, rel. 17
d = 1.931 Å, 2θ 47.07, rel. 16
d = 1.903 Å, 2θ 47.78, rel. 19

```
K2U3H4O6F8
1.0
13.3509 0.0000 0.0000
0.0000 7.1485 4.2696
0.0000 -7.1485 4.2696
K U H O F
4 6 8 12 16
Direct
0.2500 0.0101 0.9899
0.2500 0.4679 0.7256
0.7500 0.7256 0.4679
0.7500 0.9899 0.0101
0.0000 0.3489 0.3489
0.0238 0.7532 0.1612
0.4762 0.7532 0.1612
0.5000 0.3489 0.3489
0.5238 0.1612 0.7532
0.9762 0.1612 0.7532
0.0000 0.6557 0.6557
0.2500 0.1166 0.4113
0.2500 0.3585 0.9981
0.2500 0.7428 0.6076
0.5000 0.6557 0.6557
0.7500 0.4113 0.1166
0.7500 0.6076 0.7428
0.7500 0.9981 0.3585
0.0933 0.0507 0.7550
0.1270 0.4044 0.3188
0.1344 0.7676 0.2900
0.3656 0.7676 0.2900
0.3730 0.4044 0.3188
0.4067 0.0507 0.7550
0.5933 0.7550 0.0507
0.6270 0.3188 0.4044
0.6344 0.2900 0.7676
0.8656 0.2900 0.7676
0.8730 0.3188 0.4044
0.9067 0.7550 0.0507
0.0474 0.4418 0.9701
0.0542 0.3176 0.5945
0.0547 0.0563 0.2152
0.1190 0.7352 0.9339
0.3810 0.7352 0.9339
0.4453 0.0563 0.2152
0.4458 0.3176 0.5945
0.4526 0.4418 0.9701
0.5474 0.9701 0.4418
0.5542 0.5945 0.3176
0.5547 0.2152 0.0563
0.6190 0.9339 0.7352
0.8810 0.9339 0.7352
0.9453 0.2152 0.0563
0.9458 0.5945 0.3176
0.9526 0.9701 0.4418
```